Starting from a cell relaxed with PBE, the powder diffractogram of CsNa2InSb2 was calculated for Cu Ka.
Peak positions follow from Bragg's law for the DFT cell and can differ from measured ones.

```
data_CsNa2InSb2
_cell_length_a 5.098
_cell_length_b 8.735
_cell_length_c 9.512
_cell_angle_alpha 90.00
_cell_angle_beta 90.00
_cell_angle_gamma 90.00
_space_group_name_H-M_alt 'P m c 21'
_space_group_IT_number 26
loop_
_space_group_symop_operation_xyz
'x,y,z'
'-x,-y,z+1/2'
'-x,y,z'
'x,-y,z+1/2'
loop_
_atom_site_label
_atom_site_fract_x
_atom_site_fract_y
_atom_site_fract_z
Cs1 0.000 0.115 0.000
Na1 0.000 0.332 0.637
Na2 0.500 0.442 0.887
In1 0.500 0.165 0.365
Sb1 0.000 0.354 0.314
Sb2 0.500 0.128 0.694
```

The 10 most intense peaks (2θ from 5° to 70°), low angle first:
(hkl)  2theta  I/Imax
0 1 0  10.1  46
1 1 1  22.2  42
1 1 2  27.6  55
1 2 1  28.5  100
0 1 3  30.0  54
2 0 0  35.2  41
1 3 0  35.5  22
1 2 3  39.3  24
1 3 2  40.4  27
2 1 3  46.9  31